Simulated X-ray diffraction stick pattern
Compound: Ni2Pd3Pt3
Radiation: CuKα
Structure: the PBE geometry in Alexandria

Structural model:
a b c (Å): 3.9001 3.9187 15.1605
angles (deg): 90.00 90.00 90.00
Atoms (fractional coordinates):
Ni: 0.0000 0.0000 0.2501
Ni: 0.0000 0.0000 0.7499
Ni: 0.5000 0.5000 0.2499
Ni: 0.5000 0.5000 0.7501
Pd: 0.0000 0.0000 0.0000
Pd: 0.0000 0.5000 0.3654
Pd: 0.0000 0.5000 0.6346
Pd: 0.5000 0.0000 0.1346
Pd: 0.5000 0.0000 0.8654
Pd: 0.5000 0.5000 0.5000
Pt: 0.0000 0.0000 0.5000
Pt: 0.0000 0.5000 0.1353
Pt: 0.0000 0.5000 0.8647
Pt: 0.5000 0.0000 0.3647
Pt: 0.5000 0.0000 0.6353
Pt: 0.5000 0.5000 0.0000

Top 6 peaks for 2θ from 10° to 90°, by intensity:
| d/Å | 2theta | I_rel |
| --- | --- | --- |
| 2.233 | 40.39 | 100 |
| 1.959 | 46.34 | 17 |
| 1.950 | 46.57 | 17 |
| 1.895 | 48.01 | 16 |
| 1.177 | 81.81 | 13 |
| 1.173 | 82.15 | 13 |


Simulated X-ray diffraction stick pattern
Compound: NiPd8Pt5
Radiation: CuKα
Structure: the PBE geometry in Alexandria

Structural model:
a b c (Å): 6.6456 6.6456 6.6456
angles (deg): 109.83 109.83 108.76
Atoms (fractional coordinates):
Ni: 0.0000 0.0000 0.0000
Pd: 0.1370 0.0613 0.7174
Pd: 0.3439 0.4196 0.2826
Pd: 0.4138 0.0213 0.2694
Pd: 0.5804 0.8630 0.9243
Pd: 0.7519 0.1443 0.7306
Pd: 0.8557 0.5862 0.6076
Pd: 0.9387 0.6561 0.0757
Pd: 0.9787 0.2481 0.3924
Pt: 0.2156 0.5273 0.9093
Pt: 0.2500 0.7500 0.5000
Pt: 0.4727 0.3820 0.6883
Pt: 0.6180 0.3063 0.0907
Pt: 0.6937 0.7844 0.3117

Top 6 peaks for 2θ from 10° to 90°, by intensity:
| d/Å | 2theta | I_rel |
| --- | --- | --- |
| 2.417 | 37.20 | 100 |
| 2.059 | 43.97 | 61 |
| 2.445 | 36.76 | 37 |
| 2.044 | 44.32 | 29 |
| 2.049 | 44.19 | 24 |
| 2.215 | 40.73 | 22 |


Simulated X-ray diffraction stick pattern
Compound: Ni10Pd6Pt
Radiation: CuKα
Structure: the PBE geometry in Alexandria

Structural model:
a b c (Å): 7.2027 7.2027 5.0800
angles (deg): 90.00 90.00 120.00
Atoms (fractional coordinates):
Ni: 0.0000 0.2942 0.1618
Ni: 0.0000 0.7058 0.8382
Ni: 0.2942 0.0000 0.1618
Ni: 0.2942 0.2942 0.8382
Ni: 0.3333 0.6667 0.0000
Ni: 0.3333 0.6667 0.5000
Ni: 0.6667 0.3333 0.0000
Ni: 0.6667 0.3333 0.5000
Ni: 0.7058 0.0000 0.8382
Ni: 0.7058 0.7058 0.1618
Pd: 0.0000 0.3617 0.6833
Pd: 0.0000 0.6383 0.3167
Pd: 0.3617 0.0000 0.6833
Pd: 0.3617 0.3617 0.3167
Pd: 0.6383 0.0000 0.3167
Pd: 0.6383 0.6383 0.6833
Pt: 0.0000 0.0000 0.5000

Top 6 peaks for 2θ from 10° to 90°, by intensity:
| d/Å | 2theta | I_rel |
| --- | --- | --- |
| 2.077 | 43.57 | 100 |
| 1.200 | 79.95 | 17 |
| 1.469 | 63.31 | 14 |
| 2.139 | 42.26 | 14 |
| 2.938 | 30.42 | 10 |
| 2.658 | 33.72 | 9 |


Simulated X-ray diffraction stick pattern
Compound: Ni6PdPt2
Radiation: CuKα
Structure: the PBE geometry in Alexandria

Structural model:
a b c (Å): 7.7701 7.7701 3.7497
angles (deg): 90.00 90.00 90.00
Atoms (fractional coordinates):
Ni: 0.0072 0.3417 0.0000
Ni: 0.1583 0.5072 0.5000
Ni: 0.1647 0.8353 0.5000
Ni: 0.3353 0.3353 0.0000
Ni: 0.3417 0.0072 0.0000
Ni: 0.4928 0.8417 0.5000
Ni: 0.5072 0.1583 0.5000
Ni: 0.6583 0.9928 0.0000
Ni: 0.6647 0.6647 0.0000
Ni: 0.8353 0.1647 0.5000
Ni: 0.8417 0.4928 0.5000
Ni: 0.9928 0.6583 0.0000
Pd: 0.0000 0.0000 0.0000
Pd: 0.5000 0.5000 0.5000
Pt: 0.1774 0.1774 0.5000
Pt: 0.3226 0.6774 0.0000
Pt: 0.6774 0.3226 0.0000
Pt: 0.8226 0.8226 0.5000

Top 6 peaks for 2θ from 10° to 90°, by intensity:
| d/Å | 2theta | I_rel |
| --- | --- | --- |
| 2.131 | 42.42 | 100 |
| 1.831 | 49.79 | 30 |
| 1.107 | 88.31 | 21 |
| 1.310 | 72.09 | 19 |
| 1.875 | 48.56 | 17 |
| 3.475 | 25.64 | 15 |


Simulated X-ray diffraction stick pattern
Compound: Ni2Pd4Pt
Radiation: CuKα
Structure: the PBE geometry in Alexandria

Structural model:
a b c (Å): 6.5125 6.5125 6.5125
angles (deg): 109.49 109.49 109.44
Atoms (fractional coordinates):
Ni: 0.0138 0.1250 0.3888
Ni: 0.3750 0.9862 0.1112
Ni: 0.7362 0.6250 0.6112
Ni: 0.8750 0.2638 0.8888
Pd: 0.1040 0.5234 0.7437
Pd: 0.1103 0.0297 0.7563
Pd: 0.2734 0.3540 0.2437
Pd: 0.4766 0.2203 0.5806
Pd: 0.6397 0.8960 0.4194
Pd: 0.6460 0.8897 0.9194
Pd: 0.7797 0.3603 0.2563
Pd: 0.9703 0.7266 0.0806
Pt: 0.2500 0.7500 0.5000
Pt: 0.5000 0.5000 0.0000

Top 6 peaks for 2θ from 10° to 90°, by intensity:
| d/Å | 2theta | I_rel |
| --- | --- | --- |
| 2.378 | 37.83 | 100 |
| 2.010 | 45.11 | 84 |
| 1.220 | 78.39 | 25 |
| 3.070 | 29.09 | 18 |
| 1.535 | 60.29 | 17 |
| 1.160 | 83.27 | 13 |


Simulated X-ray diffraction stick pattern
Compound: TaNiPdPt2
Radiation: CuKα
Structure: the PBE geometry in Alexandria

Structural model:
a b c (Å): 8.9007 8.9007 6.8347
angles (deg): 90.00 90.00 162.20
Atoms (fractional coordinates):
Ta: 0.2388 0.7612 0.7500
Ta: 0.7612 0.2388 0.2500
Ni: 0.4073 0.5927 0.2500
Ni: 0.5927 0.4073 0.7500
Pd: 0.0000 0.0000 0.0000
Pd: 0.0000 0.0000 0.5000
Pt: 0.1499 0.8501 0.0472
Pt: 0.1499 0.8501 0.4528
Pt: 0.8501 0.1499 0.5472
Pt: 0.8501 0.1499 0.9528

Top 6 peaks for 2θ from 10° to 90°, by intensity:
| d/Å | 2theta | I_rel |
| --- | --- | --- |
| 2.225 | 40.55 | 100 |
| 8.794 | 10.06 | 96 |
| 2.129 | 42.47 | 57 |
| 2.342 | 38.44 | 50 |
| 1.631 | 56.41 | 47 |
| 2.698 | 33.21 | 44 |


Simulated X-ray diffraction stick pattern
Compound: TaNiPd2Pt
Radiation: CuKα
Structure: the PBE geometry in Alexandria

Structural model:
a b c (Å): 5.9878 4.1712 6.5227
angles (deg): 90.00 104.32 90.00
Atoms (fractional coordinates):
Ta: 0.1491 0.2500 0.2382
Ta: 0.8509 0.7500 0.7618
Ni: 0.1448 0.7500 0.5293
Ni: 0.8552 0.2500 0.4707
Pd: 0.4558 0.7500 0.8750
Pd: 0.4816 0.2500 0.6221
Pd: 0.5184 0.7500 0.3779
Pd: 0.5442 0.2500 0.1250
Pt: 0.1323 0.2500 0.8261
Pt: 0.8677 0.7500 0.1739

Top 6 peaks for 2θ from 10° to 90°, by intensity:
| d/Å | 2theta | I_rel |
| --- | --- | --- |
| 2.160 | 41.82 | 100 |
| 2.120 | 42.65 | 69 |
| 2.086 | 43.39 | 47 |
| 3.387 | 26.31 | 39 |
| 2.382 | 37.77 | 35 |
| 1.934 | 46.98 | 27 |


Simulated X-ray diffraction stick pattern
Compound: TiNiPd2Pt2
Radiation: CuKα
Structure: the PBE geometry in Alexandria

Structural model:
a b c (Å): 3.8257 8.2878 5.5573
angles (deg): 90.00 90.00 90.00
Atoms (fractional coordinates):
Ti: 0.0000 0.1649 0.0000
Ti: 0.0000 0.8351 0.5000
Ni: 0.5000 0.0004 0.2481
Ni: 0.5000 0.9996 0.7481
Pd: 0.0000 0.4953 0.9964
Pd: 0.0000 0.5047 0.4964
Pd: 0.5000 0.3212 0.7466
Pd: 0.5000 0.6788 0.2466
Pt: 0.0000 0.1442 0.4986
Pt: 0.0000 0.8558 0.9986
Pt: 0.5000 0.3172 0.2425
Pt: 0.5000 0.6828 0.7425

Top 6 peaks for 2θ from 10° to 90°, by intensity:
| d/Å | 2theta | I_rel |
| --- | --- | --- |
| 2.248 | 40.11 | 100 |
| 2.240 | 40.27 | 91 |
| 1.959 | 46.35 | 61 |
| 1.369 | 68.56 | 37 |
| 1.913 | 47.53 | 31 |
| 1.181 | 81.53 | 23 |


Simulated X-ray diffraction stick pattern
Compound: U2Ni2PdPt5
Radiation: CuKα
Structure: the PBE geometry in Alexandria

Structural model:
a b c (Å): 9.0325 9.0325 4.0705
angles (deg): 90.00 90.00 90.00
Atoms (fractional coordinates):
U: 0.1772 0.3228 0.0000
U: 0.3228 0.8228 0.0000
U: 0.6772 0.1772 0.0000
U: 0.8228 0.6772 0.0000
Ni: 0.1203 0.6203 0.0000
Ni: 0.3797 0.1203 0.0000
Ni: 0.6203 0.8797 0.0000
Ni: 0.8797 0.3797 0.0000
Pd: 0.0000 0.0000 0.0000
Pd: 0.5000 0.5000 0.0000
Pt: 0.0000 0.5000 0.5000
Pt: 0.0765 0.7968 0.5000
Pt: 0.2032 0.0765 0.5000
Pt: 0.2968 0.5765 0.5000
Pt: 0.4235 0.2968 0.5000
Pt: 0.5000 0.0000 0.5000
Pt: 0.5765 0.7032 0.5000
Pt: 0.7032 0.4235 0.5000
Pt: 0.7968 0.9235 0.5000
Pt: 0.9235 0.2032 0.5000

Top 6 peaks for 2θ from 10° to 90°, by intensity:
| d/Å | 2theta | I_rel |
| --- | --- | --- |
| 2.338 | 38.50 | 100 |
| 2.191 | 41.21 | 53 |
| 2.132 | 42.39 | 52 |
| 2.867 | 31.19 | 51 |
| 2.035 | 44.52 | 35 |
| 1.491 | 62.27 | 32 |


Simulated X-ray diffraction stick pattern
Compound: Pu2Si4Ni3Pd
Radiation: CuKα
Structure: the PBE geometry in Alexandria

Structural model:
a b c (Å): 4.0177 4.0177 9.6844
angles (deg): 90.00 90.00 90.00
Atoms (fractional coordinates):
Pu: 0.0000 0.5000 0.2414
Pu: 0.5000 0.0000 0.7586
Si: 0.0000 0.0000 0.0000
Si: 0.0000 0.5000 0.6419
Si: 0.5000 0.0000 0.3581
Si: 0.5000 0.5000 0.0000
Ni: 0.0000 0.5000 0.8799
Ni: 0.5000 0.0000 0.1201
Ni: 0.5000 0.5000 0.5000
Pd: 0.0000 0.0000 0.5000

Top 6 peaks for 2θ from 10° to 90°, by intensity:
| d/Å | 2theta | I_rel |
| --- | --- | --- |
| 2.450 | 36.68 | 100 |
| 2.516 | 35.68 | 76 |
| 3.711 | 23.98 | 65 |
| 2.009 | 45.13 | 45 |
| 1.570 | 58.82 | 37 |
| 2.841 | 31.49 | 27 |


Simulated X-ray diffraction stick pattern
Compound: RbNiPdS2
Radiation: CuKα
Structure: the PBE geometry in Alexandria

Structural model:
a b c (Å): 6.6640 6.6640 7.0778
angles (deg): 90.00 90.00 131.76
Atoms (fractional coordinates):
Rb: 0.2500 0.7500 0.7594
Rb: 0.7500 0.2500 0.2406
Ni: 0.2500 0.2500 0.0000
Ni: 0.7500 0.7500 0.0000
Pd: 0.0000 0.0000 0.5000
Pd: 0.5000 0.5000 0.5000
S: 0.0792 0.9208 0.2044
S: 0.4208 0.5792 0.2044
S: 0.5792 0.4208 0.7956
S: 0.9208 0.0792 0.7956

Top 6 peaks for 2θ from 10° to 90°, by intensity:
| d/Å | 2theta | I_rel |
| --- | --- | --- |
| 3.059 | 29.20 | 100 |
| 6.082 | 14.56 | 83 |
| 2.955 | 30.24 | 79 |
| 2.345 | 38.39 | 52 |
| 3.041 | 29.37 | 51 |
| 1.759 | 51.98 | 36 |


Simulated X-ray diffraction stick pattern
Compound: ReNiPdRh
Radiation: CuKα
Structure: the PBE geometry in Alexandria

Structural model:
a b c (Å): 2.7203 2.7203 7.5088
angles (deg): 90.00 90.00 90.00
Atoms (fractional coordinates):
Re: 0.0000 0.0000 0.0000
Ni: 0.5000 0.5000 0.7713
Pd: 0.0000 0.0000 0.5246
Rh: 0.5000 0.5000 0.2478

Top 6 peaks for 2θ from 10° to 90°, by intensity:
| d/Å | 2theta | I_rel |
| --- | --- | --- |
| 2.203 | 40.97 | 100 |
| 1.924 | 47.25 | 34 |
| 1.157 | 83.54 | 25 |
| 1.343 | 70.03 | 19 |
| 7.509 | 11.79 | 18 |
| 1.877 | 48.49 | 14 |